[1]
Structure and calculated X-ray powder pattern of MgAg2Hg2O4 (a cell relaxed with PBE; Cu Kα X-rays).

Top 10 peaks for 2θ = 10–80°, sorted by position:
index	d_spacing	I/Imax
0 0 1	7.957	76
0 1 0	5.455	73
0 0 2	3.978	54
0 1 2	3.228	41
1 1 1	3.170	76
1 1 -1	2.806	100
1 -1 1	2.769	54
0 2 0	2.727	91
0 0 3	2.652	46
-1 1 1	2.530	74

Structural model:
abc: 3.6679 5.5178 8.1077
angles: 87.85 78.93 81.35
Space group P1 (No. 1)
Symmetry-distinct sites (fractional):
Mg1 0.0000 0.0000 0.0000 x1
Ag1 0.3179 0.4706 0.8771 x1
Ag2 0.7645 0.5235 0.3606 x1
Hg1 0.2962 0.0307 0.3246 x1
Hg2 0.7350 0.0029 0.6587 x1
O1 0.1555 0.8227 0.7820 x1
O2 0.4624 0.2549 0.4968 x1
O3 0.4679 0.1464 0.0048 x1
O4 0.9820 0.8120 0.2146 x1


[2]
Structure and calculated X-ray powder pattern of Na2H10SO5 (a cell relaxed with PBE; Cu Kα X-rays).

Top 10 peaks for 2θ = 10–80°, sorted by position:
index	d_spacing	I/Imax
1 3 0	3.532	31
1 1 2	3.476	68
1 3 1	3.273	100
2 2 1	2.739	81
0 2 3	2.638	90
2 0 2	2.600	85
2 4 0	2.262	54
1 5 2	2.071	60
2 4 2	2.008	31
2 0 4	1.808	38

Structural model:
abc: 6.4840 12.6355 8.7098
angles: 90.00 90.00 90.00
Space group Cmcm (No. 63)
Symmetry-distinct sites (fractional):
Na1 0.0000 0.0000 0.0000 x4
Na2 0.0000 0.4567 0.2500 x4
H1 0.1230 0.1381 0.2500 x8
H2 0.1700 0.3510 0.5210 x16
H3 0.1893 0.1840 0.6208 x16
S1 0.0000 0.3101 0.7500 x4
O1 0.0000 0.0920 0.2500 x4
O2 0.2386 0.3775 0.0736 x16


[3]
Structure and calculated X-ray powder pattern of Sm3SnN (a cell relaxed with PBE; Cu Kα X-rays).

Top 8 peaks for 2θ = 10–80°, sorted by position:
index	d_spacing	I/Imax
1 0 0	4.934	2
1 1 1	2.849	100
2 0 0	2.467	56
2 1 0	2.206	1
2 2 0	1.744	39
3 1 1	1.488	43
2 2 2	1.424	13
4 0 0	1.233	6

Structural model:
abc: 4.9338 4.9338 4.9338
angles: 90.00 90.00 90.00
Space group Pm-3m (No. 221)
Symmetry-distinct sites (fractional):
Sm1 0.0000 0.0000 0.5000 x3
Sn1 0.5000 0.5000 0.5000 x1
N1 0.0000 0.0000 0.0000 x1


[4]
Structure and calculated X-ray powder pattern of NaSiSbCO7 (a cell relaxed with PBE; Cu Kα X-rays).

Top 10 peaks for 2θ = 10–80°, sorted by position:
index	d_spacing	I/Imax
0 1 1	5.343	100
1 0 -1	4.732	30
1 0 1	4.545	46
1 1 0	4.136	59
1 0 -2	3.594	44
1 0 2	3.431	18
0 2 0	3.263	45
2 0 0	2.673	22
1 2 1	2.651	18
1 1 3	2.440	23

Structural model:
abc: 5.3517 6.5265 9.3163
angles: 90.00 92.68 90.00
Space group P2_1 (No. 4)
Symmetry-distinct sites (fractional):
Na1 0.2401 0.0000 0.2778 x2
Si1 0.2750 0.7179 0.9347 x2
Sb1 0.2118 0.2119 0.8423 x2
C1 0.2757 0.2297 0.5765 x2
O1 0.0518 0.2269 0.6371 x2
O2 0.1262 0.7303 0.0844 x2
O3 0.1999 0.5187 0.8359 x2
O4 0.2105 0.9130 0.8300 x2
O5 0.3080 0.2256 0.4477 x2
O6 0.4213 0.2083 0.0219 x2
O7 0.4632 0.2345 0.6806 x2


Number 4 is which compound?
NaSiSbCO7